Entry 1:
Cs4TmPa3O12: simulated X-ray diffraction stick pattern (CuKα), based on a DFT-relaxed cell (GGA-PBE, Alexandria).
Lines closer than 0.1° are merged.

The 8 most intense peaks (15° ≤ 2θ ≤ 90°), sorted by position:
(2 0 0), 19.89 deg, d = 4.465 Å, I = 11; (2 2 0), 28.27 deg, d = 3.157 Å, I = 100; (4 0 0), 40.41 deg, d = 2.232 Å, I = 28; (4 2 2), 50.04 deg, d = 1.823 Å, I = 43; (4 4 0), 58.47 deg, d = 1.578 Å, I = 18; (6 2 0), 66.19 deg, d = 1.412 Å, I = 19; (4 4 4), 73.48 deg, d = 1.289 Å, I = 6; (6 4 2), 80.50 deg, d = 1.193 Å, I = 22

Crystal structure
Unit cell a=8.929 b=8.929 c=8.929 alpha=90.00 beta=90.00 gamma=90.00
Space group Im-3m (No. 229)
Inequivalent atoms, fractional coordinates:
Cs: 0.250 0.250 0.250
Tm: 0.000 0.000 0.000
Pa: 0.000 0.000 0.500
O: 0.000 0.000 0.261
O: 0.000 0.250 0.500

Entry 2:
Cs3YPa2O9: simulated X-ray diffraction stick pattern (CuKα), based on a DFT-relaxed cell (GGA-PBE, Alexandria).
Lines closer than 0.1° are merged.

The 8 most intense peaks (15° ≤ 2θ ≤ 90°), sorted by position:
(1 1 0), 28.13 deg, d = 3.173 Å, I = 100; (2 0 2), 40.20 deg, d = 2.243 Å, I = 29; (3 0 0), 49.74 deg, d = 1.833 Å, I = 32; (1 0 4), 49.89 deg, d = 1.828 Å, I = 11; (0 2 4), 58.23 deg, d = 1.584 Å, I = 9; (3 1 2), 65.77 deg, d = 1.420 Å, I = 10; (2 1 4), 65.88 deg, d = 1.418 Å, I = 10; (4 1 0), 79.91 deg, d = 1.200 Å, I = 11

Crystal structure
Unit cell a=6.3534 b=6.3534 c=7.7517 alpha=90.00 beta=90.00 gamma=120.00
Space group P-3m1 (No. 164)
Inequivalent atoms, fractional coordinates:
Cs: 0.0000 0.0000 0.0000
Cs: 0.3333 0.6667 0.6643
Y: 0.0000 0.0000 0.5000
Pa: 0.3333 0.6667 0.1687
O: 0.0000 0.5000 0.0000
O: 0.1732 0.3465 0.3265

Entry 3:
CsPbO: simulated X-ray diffraction stick pattern (CuKα), based on a DFT-relaxed cell (GGA-PBE, Alexandria).
Lines closer than 0.1° are merged.

The 8 most intense peaks (15° ≤ 2θ ≤ 90°), sorted by position:
(1 1 0), 18.37 deg, d = 4.830 Å, I = 45; (0 1 3), 24.36 deg, d = 3.655 Å, I = 100; (0 2 0), 25.82 deg, d = 3.451 Å, I = 52; (2 0 2), 29.83 deg, d = 2.995 Å, I = 47; (2 1 1), 30.24 deg, d = 2.955 Å, I = 70; (2 2 2), 39.84 deg, d = 2.263 Å, I = 48; (2 1 5), 46.12 deg, d = 1.968 Å, I = 39; (4 1 3), 60.38 deg, d = 1.533 Å, I = 33

Crystal structure
Unit cell a=6.761 b=6.902 c=12.924 alpha=90.00 beta=90.00 gamma=90.00
Space group Immm (No. 71)
Inequivalent atoms, fractional coordinates:
Cs: 0.000 0.000 0.174
Pb: 0.246 0.000 0.500
O: 0.000 0.000 0.385

Entry 4:
CsPbO2: simulated X-ray diffraction stick pattern (CuKα), based on a DFT-relaxed cell (GGA-PBE, Alexandria).
Lines closer than 0.1° are merged.

The 8 most intense peaks (15° ≤ 2θ ≤ 90°), sorted by position:
(1 1 0), 15.54 deg, d = 5.701 Å, I = 58; (2 0 0), 25.06 deg, d = 3.554 Å, I = 70; (0 2 1), 25.33 deg, d = 3.516 Å, I = 89; (2 2 -1), 27.96 deg, d = 3.191 Å, I = 100; (2 0 -2), 28.72 deg, d = 3.108 Å, I = 46; (1 3 0), 30.78 deg, d = 2.905 Å, I = 29; (0 0 2), 34.50 deg, d = 2.600 Å, I = 47; (2 2 1), 42.57 deg, d = 2.124 Å, I = 37

Crystal structure
Unit cell a=8.660 b=9.549 c=6.334 alpha=90.00 beta=124.85 gamma=90.00
Space group C2/c (No. 15)
Inequivalent atoms, fractional coordinates:
Cs: 0.000 0.139 0.250
Pb: 0.000 0.435 0.750
O: 0.177 0.431 0.192

Entry 5:
Cs2RbPb3O8: simulated X-ray diffraction stick pattern (CuKα), based on a DFT-relaxed cell (GGA-PBE, Alexandria).
Lines closer than 0.1° are merged.

The 8 most intense peaks (15° ≤ 2θ ≤ 90°), sorted by position:
(0 0 6), 24.76 deg, d = 3.596 Å, I = 48; (0 1 5), 25.46 deg, d = 3.499 Å, I = 59; (1 1 3), 28.69 deg, d = 3.112 Å, I = 100; (0 2 1), 30.18 deg, d = 2.961 Å, I = 67; (2 0 2), 31.04 deg, d = 2.881 Å, I = 63; (0 2 4), 34.30 deg, d = 2.615 Å, I = 50; (0 2 7), 42.11 deg, d = 2.146 Å, I = 43; (2 0 8), 45.29 deg, d = 2.002 Å, I = 84

Crystal structure
Unit cell a=6.9036 b=6.9036 c=21.5759 alpha=90.00 beta=90.00 gamma=120.00
Space group R3m (No. 160, hexagonal axes)
Inequivalent atoms, fractional coordinates:
Cs: 0.0000 0.0000 0.0000
Cs: 0.0000 0.0000 0.3701
Rb: 0.0000 0.0000 0.7466
Pb: 0.1671 0.3341 0.2026
O: 0.0000 0.0000 0.1460
O: 0.0000 0.0000 0.5936
O: 0.0368 0.5184 0.1499
O: 0.1871 0.3742 0.9227

Entry 6:
Cs3PbS2O8: simulated X-ray diffraction stick pattern (CuKα), based on a DFT-relaxed cell (GGA-PBE, Alexandria).
Lines closer than 0.1° are merged.

The 8 most intense peaks (15° ≤ 2θ ≤ 90°), sorted by position:
(1 1 0), 27.01 deg, d = 3.301 Å, I = 100; (0 1 2), 27.18 deg, d = 3.281 Å, I = 99; (2 0 2), 38.69 deg, d = 2.327 Å, I = 45; (3 0 0), 47.72 deg, d = 1.906 Å, I = 19; (1 2 2), 47.82 deg, d = 1.902 Å, I = 38; (1 1 4), 53.52 deg, d = 1.712 Å, I = 17; (3 1 2), 63.05 deg, d = 1.474 Å, I = 20; (4 1 0), 76.36 deg, d = 1.247 Å, I = 22

Crystal structure
Unit cell a=6.6023 b=6.6023 c=8.0112 alpha=90.00 beta=90.00 gamma=120.00
Space group P-3m1 (No. 164)
Inequivalent atoms, fractional coordinates:
Cs: 0.0000 0.0000 0.0000
Cs: 0.3333 0.6667 0.7087
Pb: 0.0000 0.0000 0.5000
S: 0.3333 0.6667 0.2638
O: 0.2094 0.4187 0.3277
O: 0.3333 0.6667 0.0788